Entry 1:
Simulated X-ray diffraction stick pattern of Y3Hg3Au2 for Cu Kα (weighted mean of Kα1 and Kα2), from a cell relaxed with GGA-PBE.
Kinematic intensities with the Lorentz-polarization factor, no thermal factor.

Structure:
```
data_Y3Hg3Au2
_chemical_formula_sum 'Y3 Hg3 Au2'
_space_group_name_H-M_alt 'P -6 2 m'
_space_group_IT_number 189
_space_group_name_Hall 'P -6 -2'
_cell_length_a 7.7344
_cell_length_b 7.7344
_cell_length_c 3.7659
_cell_angle_alpha 90.00
_cell_angle_beta 90.00
_cell_angle_gamma 120.00
loop_
_atom_site_label
_atom_site_fract_x
_atom_site_fract_y
_atom_site_fract_z
Y1 0.0000 0.4102 0.0000
Hg1 0.0000 0.7702 0.5000
Au1 0.3333 0.6667 0.5000
```

The 12 most intense peaks (10° ≤ 2θ ≤ 90°), by angle:
d_spacing	Position (°2θ)	intensity	hkl
3.766	23.63	45	0 0 1
2.698	33.21	92	1 1 1
2.532	35.46	100	2 1 0
2.503	35.88	56	2 0 1
2.233	40.40	21	3 0 0
2.101	43.05	60	2 1 1
1.883	48.34	21	0 0 2
1.511	61.36	41	2 1 2
1.462	63.66	16	4 1 0
1.423	65.62	21	3 2 1
1.363	68.91	33	4 1 1
1.155	83.78	15	4 1 2

***

Entry 2:
Simulated X-ray diffraction stick pattern of Ce3Ga9Pt2 for Cu Kα (weighted mean of Kα1 and Kα2), from a cell relaxed with GGA-PBE.
Kinematic intensities with the Lorentz-polarization factor, no thermal factor.

Structure:
```
data_Ce3Ga9Pt2
_chemical_formula_sum 'Ce6 Ga18 Pt4'
_space_group_name_H-M_alt 'I m m m'
_space_group_IT_number 71
_space_group_name_Hall '-I 2 2'
_cell_length_a 4.318
_cell_length_b 10.052
_cell_length_c 12.453
_cell_angle_alpha 90.00
_cell_angle_beta 90.00
_cell_angle_gamma 90.00
loop_
_atom_site_label
_atom_site_fract_x
_atom_site_fract_y
_atom_site_fract_z
Ce1 0.000 0.000 0.000
Ce2 0.000 0.000 0.323
Ga1 0.000 0.275 0.130
Ga2 0.000 0.373 0.332
Ga3 0.000 0.500 0.000
Pt1 0.000 0.222 0.500
```

The 12 most intense peaks (10° ≤ 2θ ≤ 90°), by angle:
d_spacing	Position (°2θ)	intensity	hkl
6.226	14.22	12	0 0 2
3.911	22.74	12	0 2 2
2.647	33.86	13	1 3 0
2.607	34.40	19	0 3 3
2.571	34.90	100	1 2 3
2.436	36.90	14	1 3 2
2.158	41.85	43	2 0 0
2.075	43.61	17	0 0 6
1.983	45.75	20	0 5 1
1.496	62.03	12	2 0 6
1.462	63.67	16	1 6 3
1.313	71.94	12	3 2 3

***

Entry 3:
Simulated X-ray diffraction stick pattern of HgRhO for Cu Kα (weighted mean of Kα1 and Kα2), from a cell relaxed with GGA-PBE.
Kinematic intensities with the Lorentz-polarization factor, no thermal factor.

Structure:
```
data_HgRhO
_chemical_formula_sum 'Hg3 Rh3 O3'
_space_group_name_H-M_alt 'R 3 m'
_space_group_IT_number 160
_space_group_name_Hall 'R 3 -2"'
_cell_length_a 3.0357
_cell_length_b 3.0357
_cell_length_c 18.1391
_cell_angle_alpha 90.00
_cell_angle_beta 90.00
_cell_angle_gamma 120.00
loop_
_atom_site_label
_atom_site_fract_x
_atom_site_fract_y
_atom_site_fract_z
Hg1 0.0000 0.0000 0.0000
Rh1 0.0000 0.0000 0.5339
O1 0.0000 0.0000 0.1438
```

The 12 most intense peaks (10° ≤ 2θ ≤ 90°), by angle:
d_spacing	Position (°2θ)	intensity	hkl
6.046	14.65	37	0 0 3
3.023	29.55	40	0 0 6
2.602	34.47	14	1 0 1
2.525	35.55	100	0 1 2
2.274	39.63	59	1 0 4
2.129	42.46	23	0 1 5
1.846	49.38	24	1 0 7
1.717	53.36	18	0 1 8
1.518	61.05	24	1 1 0
1.397	66.99	14	0 1 11
1.356	69.27	21	1 1 6
1.212	78.96	14	1 1 9

***

Entry 4:
Simulated X-ray diffraction stick pattern of Cs2UI5Br for Cu Kα (weighted mean of Kα1 and Kα2), from a cell relaxed with GGA-PBE.
Kinematic intensities with the Lorentz-polarization factor, no thermal factor.

Structure:
```
data_Cs2UI5Br
_chemical_formula_sum 'Cs4 U2 I10 Br2'
_space_group_name_H-M_alt 'I 4 m m'
_space_group_IT_number 107
_space_group_name_Hall 'I 4 -2'
_cell_length_a 8.637
_cell_length_b 8.637
_cell_length_c 11.894
_cell_angle_alpha 90.00
_cell_angle_beta 90.00
_cell_angle_gamma 90.00
loop_
_atom_site_label
_atom_site_fract_x
_atom_site_fract_y
_atom_site_fract_z
Cs1 0.000 0.500 0.000
U1 0.000 0.000 0.247
I1 0.000 0.000 0.500
I2 0.248 0.248 0.250
Br1 0.000 0.000 0.016
```

The 12 most intense peaks (10° ≤ 2θ ≤ 90°), by angle:
d_spacing	Position (°2θ)	intensity	hkl
6.989	12.67	52	1 0 1
4.261	20.85	22	1 1 2
3.674	24.23	21	2 1 1
3.494	25.49	100	2 0 2
3.054	29.24	90	2 2 0
2.974	30.05	42	0 0 4
2.159	41.83	34	4 0 0
2.130	42.43	64	2 2 4
1.837	49.63	32	4 2 2
1.747	52.36	35	4 0 4
1.366	68.73	16	6 2 0
1.241	76.80	23	6 2 4

***

Entry 5:
Simulated X-ray diffraction stick pattern of Lu8Te for Cu Kα (weighted mean of Kα1 and Kα2), from a cell relaxed with GGA-PBE.
Kinematic intensities with the Lorentz-polarization factor, no thermal factor.

Structure:
```
data_Lu8Te
_chemical_formula_sum 'Lu8 Te1'
_space_group_name_H-M_alt 'P -6 2 m'
_space_group_IT_number 189
_space_group_name_Hall 'P -6 -2'
_cell_length_a 9.0250
_cell_length_b 9.0250
_cell_length_c 3.6896
_cell_angle_alpha 90.00
_cell_angle_beta 90.00
_cell_angle_gamma 120.00
loop_
_atom_site_label
_atom_site_fract_x
_atom_site_fract_y
_atom_site_fract_z
Lu1 0.0000 0.2783 0.0000
Lu2 0.0000 0.6141 0.5000
Lu3 0.3333 0.6667 0.0000
Te1 0.0000 0.0000 0.5000
```

The 12 most intense peaks (10° ≤ 2θ ≤ 90°), by angle:
d_spacing	Position (°2θ)	intensity	hkl
2.954	30.25	38	2 1 0
2.856	31.32	100	1 1 1
2.683	33.40	54	2 0 1
2.605	34.42	78	3 0 0
2.306	39.06	25	2 1 1
1.925	47.22	14	2 2 1
1.845	49.40	15	0 0 2
1.613	57.11	36	3 2 1
1.565	59.04	13	2 1 2
1.505	61.61	35	3 0 2
1.439	64.77	14	5 0 1
1.404	66.59	12	5 1 0

***

Entry 6:
Simulated X-ray diffraction stick pattern of Pr12BiPt6 for Cu Kα (weighted mean of Kα1 and Kα2), from a cell relaxed with GGA-PBE.
Kinematic intensities with the Lorentz-polarization factor, no thermal factor.

Structure:
```
data_Pr12BiPt6
_chemical_formula_sum 'Pr24 Bi2 Pt12'
_space_group_name_H-M_alt 'I m -3'
_space_group_IT_number 204
_space_group_name_Hall '-I 2 2 3'
_cell_length_a 10.494
_cell_length_b 10.494
_cell_length_c 10.494
_cell_angle_alpha 90.00
_cell_angle_beta 90.00
_cell_angle_gamma 90.00
loop_
_atom_site_label
_atom_site_fract_x
_atom_site_fract_y
_atom_site_fract_z
Pr1 0.000 0.307 0.181
Bi1 0.000 0.000 0.000
Pt1 0.000 0.134 0.500
```

The 12 most intense peaks (10° ≤ 2θ ≤ 90°), by angle:
d_spacing	Position (°2θ)	intensity	hkl
5.247	16.90	20	2 0 0
3.029	29.49	12	2 2 2
2.805	31.91	100	3 1 2
2.623	34.18	10	4 0 0
2.473	36.32	14	3 3 0
2.058	44.00	35	4 3 1
1.749	52.31	16	6 0 0
1.702	53.86	19	5 2 3
1.484	62.60	14	5 4 3
1.333	70.69	11	7 2 3
1.237	77.13	11	6 6 0
1.220	78.39	16	8 3 1

***

Entry 7:
Simulated X-ray diffraction stick pattern of Tb2CuSi3Ni12 for Cu Kα (weighted mean of Kα1 and Kα2), from a cell relaxed with GGA-PBE.
Kinematic intensities with the Lorentz-polarization factor, no thermal factor.

Structure:
```
data_Tb2CuSi3Ni12
_chemical_formula_sum 'Tb6 Cu3 Si9 Ni36'
_space_group_name_H-M_alt 'R -3 m'
_space_group_IT_number 166
_space_group_name_Hall '-R 3 2"'
_cell_length_a 8.4094
_cell_length_b 8.4094
_cell_length_c 11.8071
_cell_angle_alpha 90.00
_cell_angle_beta 90.00
_cell_angle_gamma 120.00
loop_
_atom_site_label
_atom_site_fract_x
_atom_site_fract_y
_atom_site_fract_z
Tb1 0.0000 0.0000 0.1550
Cu1 0.0000 0.0000 0.5000
Si1 0.0000 0.5000 0.0000
Ni1 0.0101 0.5050 0.3905
Ni2 0.0111 0.5056 0.1922
```

The 12 most intense peaks (10° ≤ 2θ ≤ 90°), by angle:
d_spacing	Position (°2θ)	intensity	hkl
6.198	14.29	11	1 0 1
3.936	22.59	24	0 0 3
2.873	31.13	40	1 1 3
2.293	39.29	13	0 2 4
2.102	43.02	100	2 2 0
2.066	43.82	15	3 0 3
1.981	45.80	36	2 0 5
1.854	49.13	18	2 2 3
1.474	63.09	11	1 4 3
1.442	64.64	12	0 4 5
1.214	78.86	15	6 0 0
1.189	80.83	11	4 2 5

***

Entry 8:
Simulated X-ray diffraction stick pattern of Mg2Ti9O13 for Cu Kα (weighted mean of Kα1 and Kα2), from a cell relaxed with GGA-PBE.
Kinematic intensities with the Lorentz-polarization factor, no thermal factor.

Structure:
```
data_Mg2Ti9O13
_chemical_formula_sum 'Mg4 Ti18 O26'
_space_group_name_H-M_alt 'C 1 2/m 1'
_space_group_IT_number 12
_space_group_name_Hall '-C 2y'
_cell_length_a 9.904
_cell_length_b 2.943
_cell_length_c 16.588
_cell_angle_alpha 90.00
_cell_angle_beta 99.84
_cell_angle_gamma 90.00
loop_
_atom_site_label
_atom_site_fract_x
_atom_site_fract_y
_atom_site_fract_z
Mg1 0.223 0.000 0.225
Ti1 0.000 0.000 0.338
Ti2 0.000 0.500 0.500
Ti3 0.065 0.000 0.881
Ti4 0.158 0.500 0.036
Ti5 0.223 0.000 0.579
O1 0.000 0.000 0.000
O2 0.087 0.500 0.148
O3 0.120 0.500 0.627
O4 0.122 0.000 0.771
O5 0.137 0.500 0.311
O6 0.139 0.000 0.453
O7 0.212 0.500 0.911
```

The 12 most intense peaks (10° ≤ 2θ ≤ 90°), by angle:
d_spacing	Position (°2θ)	intensity	hkl
8.172	10.83	100	0 0 2
2.573	34.87	70	2 0 -6
2.524	35.58	56	2 0 5
2.454	36.62	32	1 1 3
2.171	41.59	52	3 1 -2
2.131	42.41	67	3 1 1
2.111	42.84	85	3 1 -3
2.051	44.16	41	3 1 2
2.024	44.78	30	3 1 -4
1.979	45.86	31	2 0 7
1.493	62.16	33	1 1 9
1.472	63.18	42	0 2 0

***

Entry 9:
Simulated X-ray diffraction stick pattern of Y5Er2Pd4 for Cu Kα (weighted mean of Kα1 and Kα2), from a cell relaxed with GGA-PBE.
Kinematic intensities with the Lorentz-polarization factor, no thermal factor.

Structure:
```
data_Y5Er2Pd4
_chemical_formula_sum 'Y10 Er4 Pd8'
_space_group_name_H-M_alt 'C 1 2/m 1'
_space_group_IT_number 12
_space_group_name_Hall '-C 2y'
_cell_length_a 23.202
_cell_length_b 3.726
_cell_length_c 7.234
_cell_angle_alpha 90.00
_cell_angle_beta 107.79
_cell_angle_gamma 90.00
loop_
_atom_site_label
_atom_site_fract_x
_atom_site_fract_y
_atom_site_fract_z
Y1 0.000 0.000 0.000
Y2 0.121 0.500 0.879
Y3 0.134 0.500 0.397
Er1 0.235 0.000 0.779
Pd1 0.004 0.500 0.307
Pd2 0.075 0.000 0.575
```

The 12 most intense peaks (10° ≤ 2θ ≤ 90°), by angle:
d_spacing	Position (°2θ)	intensity	hkl
6.867	12.89	42	2 0 -1
3.312	26.92	21	1 1 -1
3.173	28.12	33	1 1 1
2.886	30.99	20	8 0 -1
2.762	32.42	25	8 0 0
2.589	34.65	18	4 0 2
2.576	34.82	100	3 1 -2
2.466	36.43	38	5 1 1
2.459	36.54	21	7 1 -1
2.408	37.34	43	7 1 0
1.863	48.89	22	0 2 0
1.779	51.36	19	11 1 -2

***

Entry 10:
Simulated X-ray diffraction stick pattern of Mn3ReRh12 for Cu Kα (weighted mean of Kα1 and Kα2), from a cell relaxed with GGA-PBE.
Kinematic intensities with the Lorentz-polarization factor, no thermal factor.

Structure:
```
data_Mn3ReRh12
_chemical_formula_sum 'Mn3 Re1 Rh12'
_space_group_name_H-M_alt 'P 4/m m m'
_space_group_IT_number 123
_space_group_name_Hall '-P 4 2'
_cell_length_a 3.824
_cell_length_b 3.824
_cell_length_c 15.299
_cell_angle_alpha 90.00
_cell_angle_beta 90.00
_cell_angle_gamma 90.00
loop_
_atom_site_label
_atom_site_fract_x
_atom_site_fract_y
_atom_site_fract_z
Mn1 0.000 0.000 0.000
Mn2 0.000 0.000 0.245
Re1 0.000 0.000 0.500
Rh1 0.000 0.500 0.123
Rh2 0.000 0.500 0.376
Rh3 0.500 0.500 0.000
Rh4 0.500 0.500 0.250
Rh5 0.500 0.500 0.500
```

The 12 most intense peaks (10° ≤ 2θ ≤ 90°), by angle:
d_spacing	Position (°2θ)	intensity	hkl
7.650	11.57	4	0 0 2
5.100	17.39	2	0 0 3
3.710	23.99	2	1 0 1
3.421	26.05	2	1 0 2
3.060	29.19	2	1 0 3
2.389	37.65	2	1 1 3
2.208	40.87	100	1 1 4
1.912	47.55	48	2 0 0
1.855	49.11	1	1 1 6
1.352	69.52	30	2 2 0
1.153	83.91	36	3 1 4
1.104	88.58	11	2 2 8